This entry pairs a crystal structure of CaPmRh2 with its computed powder diffraction line list. Radiation: CuKα. Structure: DFT lattice parameters and positions (PBE).

Most intense lines, 5 to 70 degrees two-theta, in order of rising 2θ:
d = 4.010 Å, rel. 16.0; d = 2.456 Å, rel. 100.0; d = 2.094 Å, rel. 8.8; d = 1.737 Å, rel. 17.2; d = 1.594 Å, rel. 3.8; d = 1.418 Å, rel. 34.6

Structural model:
Cell lengths 4.912, 4.912, 4.912 Å; angles 60.00, 60.00, 60.00 degrees
Positions (direct):
Ca 0.000 0.000 0.000
Pm 0.500 0.500 0.500
Rh 0.250 0.250 0.250
Rh 0.750 0.750 0.750